1.
Diffraction record for TaBiTeN2. The powder diffraction line list is computed, not measured: it uses a GGA-PBE-relaxed structure and Cu Kα X-rays.
Kinematic intensities with the Lorentz-polarization factor, no thermal factor.

Atomic structure:
Unit cell a=4.1884 b=4.1884 c=5.6853 alpha=90.00 beta=90.00 gamma=90.00
Space group P4/mmm (No. 123)
One atom of each set of equivalent atoms:
1 Ta 0.0000 0.0000 0.0000 x1
2 Bi 0.5000 0.5000 0.5000 x1
3 Te 0.0000 0.0000 0.5000 x1
4 N 0.0000 0.5000 0.0000 x2

Main lines, sorted by position (5° ≤ 2θ ≤ 70°):
- 15.6°, I = 15
- 26.4°, I = 81
- 30.2°, I = 100
- 31.5°, I = 56
- 34.1°, I = 20
- 43.2°, I = 47
- 44.2°, I = 73
- 51.4°, I = 28
- 54.4°, I = 48
- 62.7°, I = 15


2.
Diffraction record for TbTh2Bi2N2. The powder diffraction line list is computed, not measured: it uses a GGA-PBE-relaxed structure and Cu Kα X-rays.
Kinematic intensities with the Lorentz-polarization factor, no thermal factor.

Atomic structure:
Unit cell a=4.5033 b=4.5033 c=16.2480 alpha=90.00 beta=90.00 gamma=90.00
Space group I4/mmm (No. 139)
One atom of each set of equivalent atoms:
1 Tb 0.0000 0.0000 0.0000 x2
2 Th 0.0000 0.0000 0.4003 x4
3 Bi 0.0000 0.0000 0.1971 x4
4 N 0.0000 0.5000 0.0000 x4

Main lines, sorted by position (5° ≤ 2θ ≤ 70°):
- 20.5°, I = 2
- 28.0°, I = 78
- 34.0°, I = 100
- 40.0°, I = 34
- 53.5°, I = 57
- 56.6°, I = 6
- 57.9°, I = 12
- 64.4°, I = 16
- 65.6°, I = 15
- 68.9°, I = 14


3.
Diffraction record for UBiTe2N. The powder diffraction line list is computed, not measured: it uses a GGA-PBE-relaxed structure and Cu Kα X-rays.
Kinematic intensities with the Lorentz-polarization factor, no thermal factor.

Atomic structure:
Unit cell a=3.9400 b=3.9400 c=18.7236 alpha=90.00 beta=90.00 gamma=90.00
Space group P4/nmm (No. 129, origin choice 2)
One atom of each set of equivalent atoms:
1 U 0.2500 0.2500 0.0598 x2
2 Bi 0.2500 0.2500 0.6657 x2
3 Te 0.2500 0.2500 0.4069 x2
4 Te 0.2500 0.2500 0.8466 x2
5 N 0.2500 0.7500 0.0000 x2

Main lines, sorted by position (5° ≤ 2θ ≤ 70°):
- 14.2°, I = 29
- 19.0°, I = 22
- 26.8°, I = 49
- 32.1°, I = 79
- 33.0°, I = 100
- 36.7°, I = 19
- 37.6°, I = 19
- 46.1°, I = 32
- 54.1°, I = 14
- 57.8°, I = 41